Structure and calculated X-ray diffraction stick pattern of CaReN3 (a GGA-PBE-relaxed structure; Cu Kα X-rays).
Intensities are scaled so that the largest is 100.

Cell and atoms:
Cell lengths 7.450, 7.450, 6.285 Å; angles 105.60, 105.60, 83.94 degrees
Positions (direct):
Ca 0.088 0.912 0.750
Ca 0.295 0.705 0.250
Ca 0.705 0.295 0.750
Ca 0.912 0.088 0.250
Re 0.203 0.378 0.773
Re 0.378 0.203 0.273
Re 0.622 0.797 0.727
Re 0.797 0.622 0.227
N 0.011 0.226 0.662
N 0.122 0.611 0.829
N 0.226 0.011 0.162
N 0.342 0.355 0.063
N 0.355 0.342 0.563
N 0.389 0.878 0.671
N 0.611 0.122 0.329
N 0.645 0.658 0.437
N 0.658 0.645 0.937
N 0.774 0.989 0.838
N 0.878 0.389 0.171
N 0.989 0.774 0.338

Most intense lines, 2θ = 5–70°, by angle:
- d 5.164, rel. 51
- d 3.796, rel. 70
- d 3.586, rel. 21
- d 3.471, rel. 100
- d 3.254, rel. 38
- d 3.069, rel. 22
- d 2.929, rel. 47
- d 2.765, rel. 34
- d 2.293, rel. 22
- d 1.932, rel. 29

Structure and calculated X-ray diffraction stick pattern of Li2AsRuO6 (a GGA-PBE-relaxed structure; Cu Kα X-rays).
Intensities are scaled so that the largest is 100.

Cell and atoms:
Cell lengths 5.154, 5.154, 4.834 Å; angles 90.00, 90.00, 90.00 degrees
Positions (direct):
Li 0.000 0.500 0.000
Li 0.500 0.000 0.000
As 0.000 0.000 0.662
Ru 0.500 0.500 0.671
O 0.000 0.000 0.315
O 0.247 0.247 0.802
O 0.247 0.753 0.802
O 0.500 0.500 0.312
O 0.753 0.247 0.802
O 0.753 0.753 0.802

Most intense lines, 2θ = 5–70°, by angle:
- d 4.834, rel. 99
- d 3.644, rel. 100
- d 2.910, rel. 74
- d 2.577, rel. 23
- d 2.274, rel. 22
- d 2.014, rel. 29
- d 1.822, rel. 25
- d 1.763, rel. 19
- d 1.705, rel. 20
- d 1.544, rel. 22

Structure and calculated X-ray diffraction stick pattern of TbDy5Tm2In (a GGA-PBE-relaxed structure; Cu Kα X-rays).
Intensities are scaled so that the largest is 100.

Cell and atoms:
Cell lengths 10.339, 10.339, 10.483 Å; angles 90.00, 90.00, 150.08 degrees
Positions (direct):
Tb 0.206 0.794 0.750
Tb 0.794 0.206 0.250
Dy 0.012 0.988 0.750
Dy 0.289 0.711 0.050
Dy 0.289 0.711 0.450
Dy 0.382 0.618 0.750
Dy 0.500 0.500 0.000
Dy 0.500 0.500 0.500
Dy 0.618 0.382 0.250
Dy 0.711 0.289 0.550
Dy 0.711 0.289 0.950
Dy 0.988 0.012 0.250
Tm 0.116 0.884 0.040
Tm 0.116 0.884 0.460
Tm 0.884 0.116 0.540
Tm 0.884 0.116 0.960
In 0.405 0.595 0.250
In 0.595 0.405 0.750

Most intense lines, 2θ = 5–70°, by angle:
- d 3.261, rel. 11
- d 3.173, rel. 13
- d 2.893, rel. 29
- d 2.730, rel. 100
- d 2.669, rel. 31
- d 2.621, rel. 16
- d 1.870, rel. 12
- d 1.552, rel. 18
- d 1.543, rel. 9
- d 1.477, rel. 10

Structure and calculated X-ray diffraction stick pattern of Si2Ni7P5 (a GGA-PBE-relaxed structure; Cu Kα X-rays).
Intensities are scaled so that the largest is 100.

Cell and atoms:
Cell lengths 24.070, 5.910, 4.914 Å; angles 90.00, 90.00, 90.00 degrees
Positions (direct):
Si 0.217 0.157 0.224
Si 0.217 0.843 0.724
Si 0.283 0.343 0.724
Si 0.283 0.657 0.224
Si 0.717 0.343 0.776
Si 0.717 0.657 0.276
Si 0.783 0.157 0.276
Si 0.783 0.843 0.776
Ni 0.000 0.000 0.000
Ni 0.000 0.000 0.500
Ni 0.074 0.456 0.501
Ni 0.074 0.544 0.001
Ni 0.139 0.051 0.493
Ni 0.139 0.949 0.993
Ni 0.206 0.469 0.501
Ni 0.206 0.531 0.001
Ni 0.294 0.031 0.001
Ni 0.294 0.969 0.501
Ni 0.361 0.449 0.993
Ni 0.361 0.551 0.493
Ni 0.426 0.044 0.001
Ni 0.426 0.956 0.501
Ni 0.500 0.500 0.000
Ni 0.500 0.500 0.500
Ni 0.574 0.044 0.499
Ni 0.574 0.956 0.999
Ni 0.639 0.449 0.507
Ni 0.639 0.551 0.007
Ni 0.706 0.031 0.499
Ni 0.706 0.969 0.999
Ni 0.794 0.469 0.999
Ni 0.794 0.531 0.499
Ni 0.861 0.051 0.007
Ni 0.861 0.949 0.507
Ni 0.926 0.456 0.999
Ni 0.926 0.544 0.499
P 0.000 0.332 0.750
P 0.000 0.668 0.250
P 0.072 0.177 0.190
P 0.072 0.823 0.690
P 0.142 0.316 0.811
P 0.142 0.684 0.311
P 0.358 0.184 0.311
P 0.358 0.816 0.811
P 0.428 0.323 0.690
P 0.428 0.677 0.190
P 0.500 0.168 0.250
P 0.500 0.832 0.750
P 0.572 0.323 0.810
P 0.572 0.677 0.310
P 0.642 0.184 0.189
P 0.642 0.816 0.689
P 0.858 0.316 0.689
P 0.858 0.684 0.189
P 0.928 0.177 0.310
P 0.928 0.823 0.810

Most intense lines, 2θ = 5–70°, by angle:
- d 2.972, rel. 82
- d 2.955, rel. 29
- d 2.543, rel. 29
- d 2.457, rel. 17
- d 2.241, rel. 18
- d 1.894, rel. 100
- d 1.889, rel. 46
- d 1.808, rel. 17
- d 1.719, rel. 27
- d 1.709, rel. 38

Structure and calculated X-ray diffraction stick pattern of PmHo2Er5Tm (a GGA-PBE-relaxed structure; Cu Kα X-rays).
Intensities are scaled so that the largest is 100.

Cell and atoms:
Cell lengths 10.188, 10.188, 10.502 Å; angles 90.00, 90.00, 148.36 degrees
Positions (direct):
Pm 0.084 0.916 0.500
Pm 0.916 0.084 0.000
Ho 0.387 0.613 0.363
Ho 0.389 0.611 0.781
Ho 0.611 0.389 0.281
Ho 0.613 0.387 0.863
Er 0.021 0.979 0.783
Er 0.113 0.887 0.067
Er 0.201 0.799 0.755
Er 0.219 0.781 0.358
Er 0.482 0.518 0.070
Er 0.518 0.482 0.570
Er 0.781 0.219 0.858
Er 0.799 0.201 0.255
Er 0.887 0.113 0.567
Er 0.979 0.021 0.283
Tm 0.300 0.700 0.058
Tm 0.700 0.300 0.558

Most intense lines, 2θ = 5–70°, by angle:
- d 3.120, rel. 19
- d 2.928, rel. 40
- d 2.777, rel. 42
- d 2.735, rel. 100
- d 2.626, rel. 13
- d 2.074, rel. 12
- d 1.767, rel. 12
- d 1.595, rel. 21
- d 1.527, rel. 15
- d 1.491, rel. 13

Structure and calculated X-ray diffraction stick pattern of Pr2Zn3Ga4Hg (a GGA-PBE-relaxed structure; Cu Kα X-rays).
Intensities are scaled so that the largest is 100.

Cell and atoms:
Cell lengths 4.340, 4.340, 10.771 Å; angles 90.00, 90.00, 90.00 degrees
Positions (direct):
Pr 0.000 0.500 0.242
Pr 0.500 0.000 0.758
Zn 0.000 0.500 0.871
Zn 0.500 0.000 0.129
Zn 0.500 0.500 0.500
Ga 0.000 0.000 0.000
Ga 0.000 0.500 0.645
Ga 0.500 0.000 0.355
Ga 0.500 0.500 0.000
Hg 0.000 0.000 0.500

Most intense lines, 2θ = 5–70°, by angle:
- d 10.771, rel. 10
- d 2.766, rel. 41
- d 2.666, rel. 100
- d 2.170, rel. 49
- d 2.024, rel. 14
- d 1.930, rel. 21
- d 1.707, rel. 19
- d 1.550, rel. 11
- d 1.534, rel. 16
- d 1.442, rel. 16

Structure and calculated X-ray diffraction stick pattern of TiTlAgI6 (a GGA-PBE-relaxed structure; Cu Kα X-rays).
Intensities are scaled so that the largest is 100.

Cell and atoms:
Cell lengths 7.662, 7.662, 7.316 Å; angles 90.31, 90.31, 120.48 degrees
Positions (direct):
Ti 0.000 0.000 0.000
Tl 0.666 0.334 0.500
Ag 0.331 0.669 0.000
I 0.023 0.720 0.220
I 0.025 0.309 0.781
I 0.280 0.310 0.223
I 0.280 0.977 0.780
I 0.690 0.720 0.777
I 0.691 0.975 0.219

Most intense lines, 2θ = 5–70°, by angle:
- d 4.924, rel. 91
- d 4.879, rel. 46
- d 3.396, rel. 100
- d 3.386, rel. 99
- d 3.302, rel. 26
- d 2.653, rel. 98
- d 2.622, rel. 43
- d 2.376, rel. 47
- d 2.217, rel. 28
- d 2.201, rel. 56

Structure and calculated X-ray diffraction stick pattern of Y6Cu2Pb (a GGA-PBE-relaxed structure; Cu Kα X-rays).
Intensities are scaled so that the largest is 100.

Cell and atoms:
Cell lengths 8.608, 8.608, 8.608 Å; angles 113.42, 109.62, 105.48 degrees
Positions (direct):
Y 0.032 0.234 0.798
Y 0.186 0.288 0.474
Y 0.186 0.712 0.898
Y 0.321 0.013 0.691
Y 0.321 0.630 0.309
Y 0.435 0.234 0.202
Y 0.565 0.766 0.798
Y 0.679 0.370 0.691
Y 0.679 0.987 0.309
Y 0.814 0.288 0.102
Y 0.814 0.712 0.526
Y 0.968 0.766 0.202
Cu 0.118 0.618 0.500
Cu 0.353 0.000 0.353
Cu 0.647 0.000 0.647
Cu 0.882 0.382 0.500
Pb 0.000 0.000 0.000
Pb 0.500 0.500 0.000

Most intense lines, 2θ = 5–70°, by angle:
- d 4.725, rel. 15
- d 3.002, rel. 25
- d 2.860, rel. 100
- d 2.694, rel. 26
- d 2.678, rel. 69
- d 2.622, rel. 27
- d 2.606, rel. 19
- d 2.435, rel. 18
- d 2.363, rel. 22
- d 1.565, rel. 25

Structure and calculated X-ray diffraction stick pattern of Cs3PuCl8 (a GGA-PBE-relaxed structure; Cu Kα X-rays).
Intensities are scaled so that the largest is 100.

Cell and atoms:
Cell lengths 9.305, 9.305, 9.305 Å; angles 131.01, 131.01, 71.80 degrees
Positions (direct):
Cs 0.000 0.000 0.000
Cs 0.250 0.750 0.500
Cs 0.750 0.250 0.500
Pu 0.500 0.500 0.000
Cl 0.190 0.190 0.590
Cl 0.190 0.600 0.000
Cl 0.400 0.400 0.590
Cl 0.400 0.810 0.000
Cl 0.600 0.190 0.000
Cl 0.600 0.600 0.410
Cl 0.810 0.400 0.000
Cl 0.810 0.810 0.410

Most intense lines, 2θ = 5–70°, by angle:
- d 6.869, rel. 19
- d 4.420, rel. 100
- d 3.858, rel. 12
- d 2.728, rel. 26
- d 2.696, rel. 50
- d 2.321, rel. 35
- d 2.282, rel. 17
- d 1.750, rel. 17
- d 1.569, rel. 14
- d 1.484, rel. 10

Structure and calculated X-ray diffraction stick pattern of Ho3Pb2N (a GGA-PBE-relaxed structure; Cu Kα X-rays).
Intensities are scaled so that the largest is 100.

Cell and atoms:
Cell lengths 7.792, 7.792, 6.775 Å; angles 101.13, 101.13, 49.24 degrees
Positions (direct):
Ho 0.088 0.912 0.750
Ho 0.326 0.447 0.403
Ho 0.447 0.326 0.903
Ho 0.553 0.674 0.097
Ho 0.674 0.553 0.597
Ho 0.912 0.088 0.250
Pb 0.121 0.250 0.071
Pb 0.250 0.121 0.571
Pb 0.750 0.879 0.429
Pb 0.879 0.750 0.929
N 0.435 0.565 0.750
N 0.565 0.435 0.250

Most intense lines, 2θ = 5–70°, by angle:
- d 3.246, rel. 57
- d 2.914, rel. 37
- d 2.780, rel. 29
- d 2.766, rel. 79
- d 2.730, rel. 79
- d 2.695, rel. 28
- d 2.600, rel. 34
- d 2.547, rel. 100
- d 2.105, rel. 31
- d 1.515, rel. 21

What did the fourth record say?
Structure and calculated X-ray diffraction stick pattern of Si2Ni7P5 (a GGA-PBE-relaxed structure; Cu Kα X-rays).
Intensities are scaled so that the largest is 100.

Cell and atoms:
Cell lengths 24.070, 5.910, 4.914 Å; angles 90.00, 90.00, 90.00 degrees
Positions (direct):
Si 0.217 0.157 0.224
Si 0.217 0.843 0.724
Si 0.283 0.343 0.724
Si 0.283 0.657 0.224
Si 0.717 0.343 0.776
Si 0.717 0.657 0.276
Si 0.783 0.157 0.276
Si 0.783 0.843 0.776
Ni 0.000 0.000 0.000
Ni 0.000 0.000 0.500
Ni 0.074 0.456 0.501
Ni 0.074 0.544 0.001
Ni 0.139 0.051 0.493
Ni 0.139 0.949 0.993
Ni 0.206 0.469 0.501
Ni 0.206 0.531 0.001
Ni 0.294 0.031 0.001
Ni 0.294 0.969 0.501
Ni 0.361 0.449 0.993
Ni 0.361 0.551 0.493
Ni 0.426 0.044 0.001
Ni 0.426 0.956 0.501
Ni 0.500 0.500 0.000
Ni 0.500 0.500 0.500
Ni 0.574 0.044 0.499
Ni 0.574 0.956 0.999
Ni 0.639 0.449 0.507
Ni 0.639 0.551 0.007
Ni 0.706 0.031 0.499
Ni 0.706 0.969 0.999
Ni 0.794 0.469 0.999
Ni 0.794 0.531 0.499
Ni 0.861 0.051 0.007
Ni 0.861 0.949 0.507
Ni 0.926 0.456 0.999
Ni 0.926 0.544 0.499
P 0.000 0.332 0.750
P 0.000 0.668 0.250
P 0.072 0.177 0.190
P 0.072 0.823 0.690
P 0.142 0.316 0.811
P 0.142 0.684 0.311
P 0.358 0.184 0.311
P 0.358 0.816 0.811
P 0.428 0.323 0.690
P 0.428 0.677 0.190
P 0.500 0.168 0.250
P 0.500 0.832 0.750
P 0.572 0.323 0.810
P 0.572 0.677 0.310
P 0.642 0.184 0.189
P 0.642 0.816 0.689
P 0.858 0.316 0.689
P 0.858 0.684 0.189
P 0.928 0.177 0.310
P 0.928 0.823 0.810

Most intense lines, 2θ = 5–70°, by angle:
- d 2.972, rel. 82
- d 2.955, rel. 29
- d 2.543, rel. 29
- d 2.457, rel. 17
- d 2.241, rel. 18
- d 1.894, rel. 100
- d 1.889, rel. 46
- d 1.808, rel. 17
- d 1.719, rel. 27
- d 1.709, rel. 38